Starting from a DFT-relaxed cell (GGA-PBE, OQMD), the powder diffractogram of Ho4BICl4 was computed for Cu Kα, 1.54184 Å.
Kinematic intensities with the Lorentz-polarization factor, no thermal factor.

Crystal structure
```
data_Ho4BICl4
_chemical_formula_sum 'Ho8 B2 I2 Cl8'
_cell_length_a 17.113
_cell_length_b 3.876
_cell_length_c 8.488
_cell_angle_alpha 90.00
_cell_angle_beta 104.41
_cell_angle_gamma 90.00
_space_group_name_H-M_alt 'C 1 2/m 1'
_space_group_IT_number 12
_space_group_name_Hall '-C 2y'
loop_
_atom_site_label
_atom_site_type_symbol
_atom_site_fract_x
_atom_site_fract_y
_atom_site_fract_z
_atom_site_occupancy
Ho1 Ho 0.000 0.000 0.197 1
Ho2 Ho 0.148 0.500 0.079 1
B1 B 0.000 0.500 0.000 1
I1 I 0.000 0.500 0.500 1
Cl1 Cl 0.168 0.000 0.309 1
Cl2 Cl 0.172 0.000 0.861 1
```

Top 10 peaks for 2θ = 15–90°, low angle first:
- 2θ 16.98, 5.223 Å, rel. 22
- 2θ 21.48, 4.138 Å, rel. 24
- 2θ 28.12, 3.173 Å, rel. 22
- 2θ 28.67, 3.113 Å, rel. 31
- 2θ 31.25, 2.862 Å, rel. 100
- 2θ 31.65, 2.827 Å, rel. 37
- 2θ 32.41, 2.762 Å, rel. 45
- 2θ 37.03, 2.428 Å, rel. 19
- 2θ 45.64, 1.988 Å, rel. 56
- 2θ 46.88, 1.938 Å, rel. 19